No. 1
Simulated X-ray powder pattern of TaVO4 for Cu Kα, from a cell relaxed with GGA+U.
Intensities are scaled so that the largest is 100.

Structural model:
Cell lengths 5.650, 5.660, 9.157 Å; angles 85.63, 85.75, 71.88 degrees
Fractional positions:
Ta1 0.000 0.000 0.000
Ta2 0.249 0.249 0.749
Ta3 0.500 0.500 0.500
Ta4 0.751 0.751 0.251
V1 0.127 0.127 0.373
V2 0.380 0.380 0.121
V3 0.620 0.620 0.879
V4 0.873 0.873 0.627
O1 0.026 0.026 0.779
O2 0.053 0.456 0.247
O3 0.202 0.798 0.500
O4 0.220 0.220 0.970
O5 0.278 0.278 0.527
O6 0.297 0.703 0.000
O7 0.456 0.053 0.247
O8 0.468 0.468 0.721
O9 0.532 0.532 0.279
O10 0.544 0.947 0.753
O11 0.703 0.297 0.000
O12 0.722 0.722 0.473
O13 0.780 0.780 0.030
O14 0.798 0.202 0.500
O15 0.947 0.544 0.753
O16 0.974 0.974 0.221

Main lines, most intense first (10 to 80 degrees two-theta):
2theta  I_rel  hkl
34.71  100  2 1 -1
18.72  87  1 0 1
26.33  68  1 1 2
26.86  63  1 -1 0
52.68  41  3 0 -1
39.54  28  2 2 0
52.05  22  2 3 1
52.11  22  3 2 1
43.01  18  2 -1 1
48.45  15  3 1 0
28.95  15  1 1 -2
37.92  14  0 2 2

No. 2
Simulated X-ray powder pattern of Na4MnO4 for Cu Kα, from a cell relaxed with GGA+U.
Intensities are scaled so that the largest is 100.

Structural model:
Cell lengths 5.642, 5.899, 8.674 Å; angles 87.47, 71.04, 68.08 degrees
Fractional positions:
Na1 0.048 0.228 0.433
Na2 0.219 0.251 0.020
Na3 0.237 0.742 0.175
Na4 0.440 0.262 0.609
Na5 0.560 0.738 0.391
Na6 0.763 0.258 0.825
Na7 0.781 0.749 0.980
Na8 0.952 0.772 0.567
Mn1 0.395 0.782 0.756
Mn2 0.605 0.218 0.244
O1 0.195 0.990 0.643
O2 0.248 0.616 0.915
O3 0.326 0.475 0.378
O4 0.448 0.021 0.198
O5 0.552 0.979 0.802
O6 0.674 0.525 0.622
O7 0.752 0.384 0.085
O8 0.805 0.010 0.357

Main lines, most intense first (10 to 80 degrees two-theta):
2theta  I_rel  hkl
37.74  100  2 2 1
40.73  46  -1 1 2
32.83  46  0 2 0
17.97  41  1 0 0
33.96  39  1 1 3
34.29  28  2 0 1
56.73  24  1 3 3
20.36  22  0 1 1
23.18  21  1 0 2
56.40  18  3 1 4
57.23  17  2 -2 1
39.94  16  1 2 -2

No. 3
Simulated X-ray powder pattern of Li2Si5Ni2O13 for Cu Kα, from a cell relaxed with GGA+U.
Intensities are scaled so that the largest is 100.

Structural model:
Cell lengths 7.537, 7.656, 9.779 Å; angles 83.58, 68.16, 71.75 degrees
Fractional positions:
Li1 0.155 0.400 0.240
Li2 0.211 0.071 0.349
Li3 0.789 0.929 0.651
Li4 0.845 0.600 0.760
Si1 0.165 0.217 0.757
Si2 0.208 0.693 0.548
Si3 0.250 0.757 0.231
Si4 0.311 0.454 0.906
Si5 0.380 0.292 0.448
Si6 0.620 0.708 0.552
Si7 0.689 0.546 0.094
Si8 0.750 0.243 0.769
Si9 0.792 0.307 0.452
Si10 0.835 0.783 0.243
Ni1 0.038 0.144 0.098
Ni2 0.413 0.831 0.905
Ni3 0.587 0.169 0.095
Ni4 0.962 0.856 0.902
O1 0.014 0.776 0.689
O2 0.061 0.684 0.249
O3 0.166 0.047 0.875
O4 0.209 0.827 0.399
O5 0.210 0.494 0.497
O6 0.218 0.677 0.929
O7 0.221 0.389 0.796
O8 0.275 0.928 0.119
O9 0.288 0.315 0.045
O10 0.312 0.151 0.587
O11 0.383 0.215 0.300
O12 0.409 0.679 0.575
O13 0.445 0.578 0.185
O14 0.555 0.422 0.815
O15 0.591 0.321 0.425
O16 0.617 0.785 0.700
O17 0.688 0.849 0.413
O18 0.712 0.685 0.955
O19 0.725 0.072 0.881
O20 0.779 0.611 0.204
O21 0.782 0.323 0.071
O22 0.790 0.506 0.503
O23 0.791 0.173 0.601
O24 0.834 0.953 0.125
O25 0.939 0.316 0.751
O26 0.986 0.224 0.311

Main lines, most intense first (10 to 80 degrees two-theta):
2theta  I_rel  hkl
29.02  100  2 2 1
31.98  91  0 1 -3
31.12  91  2 -1 1
24.03  88  2 1 1
24.49  81  0 2 0
15.60  58  0 1 -1
41.78  54  0 1 4
31.44  51  0 2 -2
32.10  49  0 1 3
48.43  33  4 1 2
31.62  31  0 2 2
15.13  31  1 1 0

No. 4
Simulated X-ray powder pattern of Li5Co3O8 for Cu Kα, from a cell relaxed with GGA+U.
Intensities are scaled so that the largest is 100.

Structural model:
Cell lengths 2.990, 5.949, 7.996 Å; angles 90.92, 90.21, 92.01 degrees
Fractional positions:
Li1 0.000 0.000 0.000
Li2 0.000 0.000 0.500
Li3 0.000 0.500 0.000
Li4 0.497 0.242 0.758
Li5 0.503 0.758 0.242
Co1 0.000 0.500 0.500
Co2 0.499 0.760 0.759
Co3 0.501 0.240 0.241
O1 0.029 0.016 0.250
O2 0.039 0.507 0.739
O3 0.493 0.262 0.480
O4 0.499 0.748 0.976
O5 0.501 0.252 0.024
O6 0.507 0.738 0.520
O7 0.961 0.493 0.261
O8 0.971 0.984 0.750

Main lines, most intense first (10 to 80 degrees two-theta):
2theta  I_rel  hkl
18.45  100  0 1 -1
42.12  35  1 -2 0
43.71  31  1 2 0
45.38  27  0 0 4
11.07  23  0 0 1
35.01  22  -1 1 1
36.03  13  1 1 1
14.90  12  0 1 0
18.75  12  0 1 1
62.13  9  2 0 0
37.20  9  0 1 3
62.50  9  0 4 0

No. 5
Simulated X-ray powder pattern of MgVCr2Fe3P6O24 for Cu Kα, from a cell relaxed with GGA+U.
Intensities are scaled so that the largest is 100.

Structural model:
Cell lengths 8.663, 8.663, 8.739 Å; angles 91.82, 117.74, 119.87 degrees
Fractional positions:
Mg1 0.000 0.000 0.000
V1 0.963 0.517 0.476
Cr1 0.250 0.372 0.616
Cr2 0.271 0.869 0.132
Fe1 0.524 0.234 0.757
Fe2 0.557 0.721 0.274
Fe3 0.758 0.123 0.871
P1 0.051 0.910 0.376
P2 0.056 0.430 0.169
P3 0.457 0.816 0.872
P4 0.475 0.321 0.093
P5 0.751 0.618 0.662
P6 0.769 0.121 0.575
O1 0.056 0.256 0.120
O2 0.074 0.761 0.458
O3 0.078 0.451 0.356
O4 0.103 0.918 0.228
O5 0.215 0.108 0.536
O6 0.239 0.620 0.188
O7 0.277 0.626 0.705
O8 0.312 0.123 0.082
O9 0.428 0.802 0.033
O10 0.442 0.469 0.140
O11 0.445 0.313 0.903
O12 0.451 0.984 0.816
O13 0.561 0.456 0.670
O14 0.603 0.959 0.390
O15 0.648 0.178 0.624
O16 0.651 0.688 0.513
O17 0.677 0.868 0.922
O18 0.701 0.375 0.243
O19 0.828 0.863 0.295
O20 0.839 0.381 0.003
O21 0.853 0.535 0.610
O22 0.888 0.076 0.742
O23 0.931 0.768 0.852
O24 0.942 0.288 0.555

Main lines, most intense first (10 to 80 degrees two-theta):
2theta  I_rel  hkl
20.34  100  1 0 -2
23.38  57  1 0 1
23.96  56  0 2 -1
24.32  55  -2 1 2
20.46  42  1 1 -1
35.76  41  1 2 0
31.57  21  2 -1 1
45.42  20  3 -1 1
35.54  20  -1 1 3
46.23  20  1 -4 2
47.47  17  -4 3 3
32.37  17  1 -3 1